Record 1
Starting from a structure optimized by DFT (PBE), the PXRD pattern of TmZnPd2 was calculated for λ = 1.5418 Å (Cu Kα).

Largest 7 diffraction maxima, by intensity, 2θ from 10° to 80°:
- hkl 2 2 0, 2.321 Å, rel. 100.0
- hkl 4 2 2, 1.340 Å, rel. 33.9
- hkl 4 0 0, 1.641 Å, rel. 16.9
- hkl 1 1 1, 3.790 Å, rel. 10.8
- hkl 3 1 1, 1.979 Å, rel. 5.7
- hkl 3 3 1, 1.506 Å, rel. 2.5
- hkl 5 1 1, 1.263 Å, rel. 1.9

Cell and atoms:
Cell: 6.564 6.564 6.564 Å, 90.00 90.00 90.00°
Space group Fm-3m (No. 225)
One atom of each set of equivalent atoms:
Tm 0.000 0.000 0.000 x4
Zn 0.000 0.000 0.500 x4
Pd 0.250 0.250 0.250 x8

---

Record 2
Starting from a structure optimized by DFT (PBE), the PXRD pattern of YUPd6 was calculated for λ = 1.5418 Å (Cu Kα).

Largest 8 diffraction maxima, by intensity, 2θ from 10° to 80°:
- hkl 1 1 2, 2.386 Å, rel. 100.0
- hkl 2 0 0, 2.065 Å, rel. 32.6
- hkl 2 2 0, 1.461 Å, rel. 31.8
- hkl 3 1 2, 1.245 Å, rel. 25.0
- hkl 0 0 4, 2.069 Å, rel. 16.3
- hkl 1 1 6, 1.247 Å, rel. 12.3
- hkl 0 0 1, 8.278 Å, rel. 11.2
- hkl 1 0 1, 3.695 Å, rel. 6.0

Cell and atoms:
Cell: 4.129 4.129 8.278 Å, 90.00 90.00 90.00°
Space group P4/mmm (No. 123)
One atom of each set of equivalent atoms:
Y 0.000 0.000 0.000 x1
U 0.000 0.000 0.500 x1
Pd 0.000 0.500 0.256 x4
Pd 0.500 0.500 0.000 x1
Pd 0.500 0.500 0.500 x1

---

Record 3
Starting from a structure optimized by DFT (PBE), the PXRD pattern of Y4UPd15 was calculated for λ = 1.5418 Å (Cu Kα).

Largest 8 diffraction maxima, by intensity, 2θ from 10° to 80°:
- hkl 1 1 5, 2.392 Å, rel. 100.0
- hkl 2 0 0, 2.070 Å, rel. 32.6
- hkl 2 2 0, 1.465 Å, rel. 31.3
- hkl 3 1 5, 1.249 Å, rel. 24.5
- hkl 0 0 10, 2.075 Å, rel. 16.2
- hkl 1 1 15, 1.251 Å, rel. 12.0
- hkl 0 0 3, 6.917 Å, rel. 1.8
- hkl 1 0 1, 4.060 Å, rel. 1.3

Cell and atoms:
Cell: 4.140 4.140 20.750 Å, 90.00 90.00 90.00°
Space group P4/mmm (No. 123)
One atom of each set of equivalent atoms:
Y 0.000 0.000 0.099 x2
Y 0.000 0.000 0.297 x2
U 0.000 0.000 0.500 x1
Pd 0.000 0.500 0.000 x2
Pd 0.000 0.500 0.200 x4
Pd 0.000 0.500 0.404 x4
Pd 0.500 0.500 0.100 x2
Pd 0.500 0.500 0.301 x2
Pd 0.500 0.500 0.500 x1

---

Record 4
Starting from a structure optimized by DFT (PBE), the PXRD pattern of VPd3 was calculated for λ = 1.5418 Å (Cu Kα).

Largest 8 diffraction maxima, by intensity, 2θ from 10° to 80°:
- hkl 1 0 4, 2.262 Å, rel. 100.0
- hkl 0 1 8, 1.953 Å, rel. 62.0
- hkl 0 0 12, 2.237 Å, rel. 30.1
- hkl 1 1 0, 1.387 Å, rel. 20.2
- hkl 1 0 16, 1.375 Å, rel. 17.0
- hkl 0 0 9, 2.982 Å, rel. 7.1
- hkl 0 1 5, 2.193 Å, rel. 5.5
- hkl 1 0 13, 1.566 Å, rel. 4.7

Cell and atoms:
Cell: 2.7740 2.7740 26.8424 Å, 90.00 90.00 120.00°
Space group R-3m (No. 166, hexagonal axes)
One atom of each set of equivalent atoms:
V 0.0000 0.0000 0.0000 x3
Pd 0.0000 0.0000 0.2549 x6
Pd 0.0000 0.0000 0.5000 x3

---

Record 5
Starting from a structure optimized by DFT (PBE), the PXRD pattern of VPd3 was calculated for λ = 1.5418 Å (Cu Kα).

Largest 8 diffraction maxima, by intensity, 2θ from 10° to 80°:
- hkl 2 0 1, 2.112 Å, rel. 100.0
- hkl 0 0 2, 2.244 Å, rel. 26.8
- hkl 2 0 0, 2.393 Å, rel. 24.3
- hkl 2 0 3, 1.269 Å, rel. 18.2
- hkl 2 2 0, 1.382 Å, rel. 16.2
- hkl 2 0 2, 1.637 Å, rel. 14.6
- hkl 1 0 1, 3.274 Å, rel. 9.4
- hkl 1 1 0, 2.763 Å, rel. 3.4

Cell and atoms:
Cell: 5.5268 5.5268 4.4880 Å, 90.00 90.00 120.00°
Space group P6_3/mmc (No. 194)
One atom of each set of equivalent atoms:
V 0.3333 0.6667 0.2500 x2
Pd 0.1695 0.3389 0.7500 x6

---

Record 6
Starting from a structure optimized by DFT (PBE), the PXRD pattern of VPd3 was calculated for λ = 1.5418 Å (Cu Kα).

Largest 8 diffraction maxima, by intensity, 2θ from 10° to 80°:
- hkl 1 1 1, 2.255 Å, rel. 100.0
- hkl 2 0 0, 1.953 Å, rel. 48.1
- hkl 2 2 0, 1.381 Å, rel. 29.9
- hkl 1 0 0, 3.905 Å, rel. 7.7
- hkl 1 1 0, 2.761 Å, rel. 6.4
- hkl 2 1 0, 1.747 Å, rel. 3.5
- hkl 2 1 1, 1.594 Å, rel. 2.6
- hkl 3 0 0, 1.302 Å, rel. 1.7

Cell and atoms:
Cell: 3.905 3.905 3.905 Å, 90.00 90.00 90.00°
Space group Pm-3m (No. 221)
One atom of each set of equivalent atoms:
V 0.000 0.000 0.000 x1
Pd 0.000 0.500 0.500 x3

---

Record 7
Starting from a structure optimized by DFT (PBE), the PXRD pattern of VPd3 was calculated for λ = 1.5418 Å (Cu Kα).

Largest 8 diffraction maxima, by intensity, 2θ from 10° to 80°:
- hkl 1 1 2, 2.249 Å, rel. 100.0
- hkl 2 0 0, 1.941 Å, rel. 31.7
- hkl 2 0 4, 1.380 Å, rel. 20.0
- hkl 0 0 4, 1.962 Å, rel. 16.4
- hkl 2 2 0, 1.372 Å, rel. 9.8
- hkl 1 0 1, 3.479 Å, rel. 7.8
- hkl 0 0 2, 3.923 Å, rel. 2.6
- hkl 1 0 3, 2.169 Å, rel. 2.2

Cell and atoms:
Cell: 3.882 3.882 7.847 Å, 90.00 90.00 90.00°
Space group I4/mmm (No. 139)
One atom of each set of equivalent atoms:
V 0.000 0.000 0.000 x2
Pd 0.000 0.000 0.500 x2
Pd 0.000 0.500 0.250 x4

---

Record 8
Starting from a structure optimized by DFT (PBE), the PXRD pattern of PdW was calculated for λ = 1.5418 Å (Cu Kα).

Largest 8 diffraction maxima, by intensity, 2θ from 10° to 80°:
- hkl 0 1 2, 2.284 Å, rel. 100.0
- hkl 1 0 4, 1.984 Å, rel. 65.8
- hkl 0 0 6, 2.315 Å, rel. 34.7
- hkl 0 1 8, 1.410 Å, rel. 21.7
- hkl 1 1 0, 1.396 Å, rel. 21.0
- hkl 1 0 10, 1.205 Å, rel. 13.9
- hkl 0 0 3, 4.631 Å, rel. 12.1
- hkl 1 0 1, 2.382 Å, rel. 7.2

Cell and atoms:
Cell: 2.7920 2.7920 13.8920 Å, 90.00 90.00 120.00°
Space group R-3m (No. 166, hexagonal axes)
One atom of each set of equivalent atoms:
Pd 0.0000 0.0000 0.0000 x3
W 0.0000 0.0000 0.5000 x3

---

Record 9
Starting from a structure optimized by DFT (PBE), the PXRD pattern of Pd3W was calculated for λ = 1.5418 Å (Cu Kα).

Largest 8 diffraction maxima, by intensity, 2θ from 10° to 80°:
- hkl 1 1 2, 2.272 Å, rel. 100.0
- hkl 2 0 0, 1.943 Å, rel. 31.2
- hkl 2 0 4, 1.400 Å, rel. 21.2
- hkl 0 0 4, 2.019 Å, rel. 17.6
- hkl 1 1 6, 1.209 Å, rel. 13.1
- hkl 2 2 0, 1.374 Å, rel. 9.9
- hkl 1 0 1, 3.502 Å, rel. 6.3
- hkl 0 0 2, 4.038 Å, rel. 2.2

Cell and atoms:
Cell: 3.887 3.887 8.076 Å, 90.00 90.00 90.00°
Space group I4/mmm (No. 139)
One atom of each set of equivalent atoms:
Pd 0.000 0.000 0.000 x2
Pd 0.000 0.500 0.250 x4
W 0.000 0.000 0.500 x2

---

Record 10
Starting from a structure optimized by DFT (PBE), the PXRD pattern of Y3Pd was calculated for λ = 1.5418 Å (Cu Kα).

Largest 8 diffraction maxima, by intensity, 2θ from 10° to 80°:
- hkl 1 1 2, 2.836 Å, rel. 100.0
- hkl 2 2 0, 2.865 Å, rel. 64.5
- hkl 2 2 1, 2.623 Å, rel. 64.2
- hkl 1 3 1, 2.688 Å, rel. 60.5
- hkl 1 0 2, 2.966 Å, rel. 55.6
- hkl 0 3 1, 2.905 Å, rel. 53.6
- hkl 1 2 2, 2.532 Å, rel. 45.8
- hkl 2 3 0, 2.393 Å, rel. 43.2

Cell and atoms:
Cell: 7.089 9.731 6.528 Å, 90.00 90.00 90.00°
Space group Pnma (No. 62)
One atom of each set of equivalent atoms:
Y 0.026 0.250 0.137 x4
Y 0.181 0.059 0.673 x8
Pd 0.111 0.750 0.437 x4

---

Record 11
Starting from a structure optimized by DFT (PBE), the PXRD pattern of YPd3 was calculated for λ = 1.5418 Å (Cu Kα).

Largest 5 diffraction maxima, by intensity, 2θ from 10° to 80°:
- hkl 1 1 1, 2.390 Å, rel. 100.0
- hkl 2 0 0, 2.070 Å, rel. 48.7
- hkl 3 1 1, 1.248 Å, rel. 36.2
- hkl 2 2 0, 1.464 Å, rel. 31.2
- hkl 1 0 0, 4.140 Å, rel. 0.6

Cell and atoms:
Cell: 4.140 4.140 4.140 Å, 90.00 90.00 90.00°
Space group Pm-3m (No. 221)
One atom of each set of equivalent atoms:
Y 0.000 0.000 0.000 x1
Pd 0.000 0.500 0.500 x3

---

Record 12
Starting from a structure optimized by DFT (PBE), the PXRD pattern of Y3Pd2 was calculated for λ = 1.5418 Å (Cu Kα).

Largest 8 diffraction maxima, by intensity, 2θ from 10° to 80°:
- hkl 1 2 2, 2.731 Å, rel. 100.0
- hkl 3 -1 4, 2.371 Å, rel. 68.4
- hkl 1 1 6, 2.341 Å, rel. 56.4
- hkl 3 0 0, 2.551 Å, rel. 50.3
- hkl 2 1 1, 2.849 Å, rel. 42.1
- hkl 0 0 6, 2.760 Å, rel. 36.4
- hkl 1 0 1, 6.947 Å, rel. 20.0
- hkl 0 1 5, 3.040 Å, rel. 17.9

Cell and atoms:
Cell: 8.8366 8.8366 16.5597 Å, 90.00 90.00 120.00°
Space group R-3 (No. 148, hexagonal axes)
One atom of each set of equivalent atoms:
Y 0.0000 0.0000 0.0000 x3
Y 0.0000 0.0000 0.2061 x6
Y 0.0144 0.2501 0.5929 x18
Pd 0.0228 0.6107 0.5682 x18